The following is a theoretical powder XRD pattern of Rb2LiNd2W4O16. It was derived from the GGA+U geometry in Alexandria, using a wavelength of 1.5418 Å.

Atomic structure:
Cell lengths 7.5456, 7.6368, 8.1460 Å; angles 88.54, 63.96, 61.52 degrees
Element x y z (fractional)
Rb 0.0000 0.0000 0.0000
Rb 0.4950 0.4176 0.5909
Li 0.3034 0.2976 0.2695
Nd 0.5185 0.9537 0.9864
Nd 0.9609 0.4647 0.6217
W 0.0388 0.8951 0.4869
W 0.4493 0.5321 0.1028
W 0.5377 0.9041 0.4777
W 0.9524 0.5102 0.1158
O 0.0512 0.4497 0.8618
O 0.1422 0.2580 0.1516
O 0.1742 0.5914 0.0642
O 0.2154 0.5715 0.3843
O 0.2703 0.8448 0.2180
O 0.3174 0.8277 0.5289
O 0.3565 0.1648 0.4511
O 0.4544 0.9709 0.7260
O 0.5535 0.2512 0.0431
O 0.5970 0.6145 0.8782
O 0.7049 0.8133 0.1814
O 0.7064 0.4573 0.1652
O 0.7866 0.6121 0.4188
O 0.8051 0.9611 0.4237
O 0.8945 0.8261 0.7128
O 0.9360 0.1644 0.5724

Main lines, low angle first (10 to 90 degrees two-theta):
| two_theta | I (rel.) |
| --- | --- |
| 16.1 | 23 |
| 25.0 | 44 |
| 27.3 | 54 |
| 28.7 | 100 |
| 30.8 | 35 |
| 31.3 | 25 |